Na4CaSi2GeSO12: theoretical PXRD pattern (Cu Ka), based on a structure optimized by DFT (PBE).
Peak positions follow from Bragg's law for the DFT cell and can differ from measured ones.

Principal peaks in the range 10° ≤ 2θ ≤ 90°, in order of rising 2θ:
2θ 18.63, intensity 40; 2θ 19.90, intensity 60; 2θ 21.79, intensity 36; 2θ 22.13, intensity 72; 2θ 29.64, intensity 100; 2θ 29.90, intensity 45; 2θ 30.65, intensity 68; 2θ 32.51, intensity 75; 2θ 32.76, intensity 79; 2θ 34.02, intensity 47

Structural model:
```
Na4CaSi2GeSO12
1.0
7.5810 -4.7964 0.0000
7.5810 4.7964 0.0000
-5.6181 0.0000 7.7038
Na Ca Si Ge S O
8 2 4 2 2 24
Direct
0.0642 0.9358 0.5000
0.2330 0.4272 0.6489
0.3116 0.8103 0.8691
0.4272 0.2330 0.1489
0.5429 0.7048 0.2760
0.7048 0.5429 0.7760
0.8103 0.3116 0.3691
0.9358 0.0642 0.0000
0.1647 0.6668 0.0279
0.6668 0.1647 0.5279
0.3543 0.5932 0.4327
0.5932 0.3543 0.9327
0.7623 0.8766 0.1231
0.8766 0.7623 0.6231
0.5363 0.9207 0.7608
0.9207 0.5363 0.2608
0.0866 0.2501 0.8337
0.2501 0.0866 0.3337
0.0280 0.3009 0.9749
0.0621 0.7146 0.7706
0.0810 0.2271 0.3268
0.1469 0.5665 0.3870
0.1592 0.3858 0.8616
0.2271 0.0810 0.8268
0.2304 0.9378 0.1614
0.3009 0.0280 0.4749
0.3387 0.6139 0.2697
0.3678 0.7873 0.6122
0.3858 0.1592 0.3616
0.4390 0.5240 0.9817
0.5240 0.4390 0.4817
0.5665 0.1469 0.8870
0.5830 0.8540 0.9336
0.6139 0.3387 0.7697
0.7030 0.7883 0.6674
0.7146 0.0621 0.2706
0.7873 0.3678 0.1122
0.7883 0.7030 0.1674
0.8510 0.9232 0.5803
0.8540 0.5830 0.4336
0.9232 0.8510 0.0803
0.9378 0.2304 0.6614
```